Entry 1:
This entry pairs a crystal structure of Tb2Dy3Y3 with its simulated powder XRD pattern. Radiation: Cu Kα (λ = 1.5418 Å). Structure: a GGA-PBE-relaxed structure.

Main lines, low angle first (2θ = 10–90°):
| 2θ/deg | intensity |
| --- | --- |
| 27.79 | 70 |
| 30.27 | 74 |
| 32.01 | 93 |
| 32.16 | 59 |
| 34.61 | 100 |
| 55.33 | 32 |

Cell and atoms:
```
Tb2Dy3Y3
1.0
4.393 2.536 3.987
-4.393 2.536 3.987
0.000 -5.073 3.987
Tb Dy Y
2 3 3
Direct
0.249 0.249 0.249 Tb
0.751 0.751 0.751 Tb
0.000 0.767 0.233 Dy
0.233 0.000 0.767 Dy
0.767 0.233 0.000 Dy
0.265 0.500 0.735 Y
0.500 0.735 0.265 Y
0.735 0.265 0.500 Y
```



Entry 2:
This entry pairs a crystal structure of Tb5Dy4Y with its simulated powder XRD pattern. Radiation: Cu Kα (λ = 1.5418 Å). Structure: a GGA-PBE-relaxed structure.

Main lines, low angle first (2θ = 10–90°):
| 2θ/deg | intensity |
| --- | --- |
| 27.62 | 52 |
| 28.54 | 33 |
| 29.88 | 100 |
| 31.16 | 30 |
| 34.77 | 54 |
| 40.14 | 30 |

Cell and atoms:
```
Tb5Dy4Y
1.0
-5.107 5.107 3.127
5.107 -5.107 3.127
5.107 5.107 -3.127
Tb Dy Y
5 4 1
Direct
0.000 0.000 0.000 Tb
0.035 0.415 0.916 Tb
0.119 0.035 0.620 Tb
0.415 0.499 0.380 Tb
0.499 0.119 0.084 Tb
0.115 0.721 0.300 Dy
0.421 0.815 0.700 Dy
0.721 0.421 0.606 Dy
0.815 0.115 0.394 Dy
0.540 0.540 0.000 Y
```



Entry 3:
This entry pairs a crystal structure of Tb3Dy3Y5 with its simulated powder XRD pattern. Radiation: Cu Kα (λ = 1.5418 Å). Structure: a GGA-PBE-relaxed structure.

Main lines, low angle first (2θ = 10–90°):
| 2θ/deg | intensity |
| --- | --- |
| 10.57 | 60 |
| 24.61 | 61 |
| 32.72 | 100 |
| 32.82 | 61 |
| 36.16 | 67 |
| 42.31 | 62 |

Cell and atoms:
```
Tb3Dy3Y5
1.0
9.665 0.000 0.000
-4.832 8.370 0.000
0.000 0.000 5.457
Tb Dy Y
3 3 5
Direct
0.000 0.375 0.000 Tb
0.375 0.000 0.000 Tb
0.625 0.625 0.000 Tb
0.000 0.553 0.500 Dy
0.447 0.447 0.500 Dy
0.553 0.000 0.500 Dy
0.000 0.744 0.000 Y
0.256 0.256 0.000 Y
0.333 0.667 0.000 Y
0.667 0.333 0.000 Y
0.744 0.000 0.000 Y
```



Entry 4:
This entry pairs a crystal structure of Tb4Dy2Y5 with its simulated powder XRD pattern. Radiation: Cu Kα (λ = 1.5418 Å). Structure: a GGA-PBE-relaxed structure.

Main lines, low angle first (2θ = 10–90°):
| 2θ/deg | intensity |
| --- | --- |
| 29.96 | 26 |
| 31.43 | 61 |
| 31.71 | 100 |
| 32.04 | 32 |
| 32.19 | 29 |
| 32.53 | 57 |

Cell and atoms:
```
Tb4Dy2Y5
1.0
3.549 0.000 0.000
-1.771 8.404 0.000
-1.766 -0.550 11.904
Tb Dy Y
4 2 5
Direct
0.110 0.063 0.156 Tb
0.210 0.852 0.568 Tb
0.790 0.148 0.432 Tb
0.890 0.937 0.844 Tb
0.448 0.213 0.685 Dy
0.552 0.787 0.315 Dy
0.161 0.558 0.766 Y
0.367 0.690 0.042 Y
0.500 0.500 0.500 Y
0.633 0.310 0.958 Y
0.839 0.442 0.234 Y
```



Entry 5:
This entry pairs a crystal structure of Tb4Dy2Y5 with its simulated powder XRD pattern. Radiation: Cu Kα (λ = 1.5418 Å). Structure: a GGA-PBE-relaxed structure.

Main lines, low angle first (2θ = 10–90°):
| 2θ/deg | intensity |
| --- | --- |
| 25.88 | 43 |
| 29.43 | 40 |
| 30.38 | 63 |
| 30.79 | 100 |
| 31.05 | 95 |
| 32.51 | 86 |

Cell and atoms:
```
Tb4Dy2Y5
1.0
11.907 -1.740 0.000
11.907 1.740 0.000
-1.034 0.000 8.646
Tb Dy Y
4 2 5
Direct
0.046 0.046 0.360 Tb
0.324 0.324 0.529 Tb
0.676 0.676 0.471 Tb
0.954 0.954 0.640 Tb
0.090 0.090 0.738 Dy
0.910 0.910 0.262 Dy
0.141 0.141 0.118 Y
0.231 0.231 0.823 Y
0.500 0.500 0.000 Y
0.769 0.769 0.177 Y
0.859 0.859 0.882 Y
```



Entry 6:
This entry pairs a crystal structure of TbDy8Y3 with its simulated powder XRD pattern. Radiation: Cu Kα (λ = 1.5418 Å). Structure: a GGA-PBE-relaxed structure.

Main lines, low angle first (2θ = 10–90°):
| 2θ/deg | intensity |
| --- | --- |
| 19.98 | 15 |
| 23.11 | 30 |
| 32.91 | 100 |
| 47.23 | 18 |
| 58.77 | 38 |
| 78.60 | 16 |

Cell and atoms:
```
TbDy8Y3
1.0
-3.848 3.848 7.701
3.848 -3.848 7.701
3.848 3.848 -7.701
Tb Dy Y
1 8 3
Direct
0.000 0.000 0.000 Tb
0.125 0.125 0.498 Dy
0.125 0.626 0.000 Dy
0.374 0.374 0.498 Dy
0.374 0.875 0.000 Dy
0.626 0.125 0.000 Dy
0.626 0.626 0.502 Dy
0.875 0.374 0.000 Dy
0.875 0.875 0.502 Dy
0.250 0.750 0.500 Y
0.500 0.500 0.000 Y
0.750 0.250 0.500 Y
```



Entry 7:
This entry pairs a crystal structure of Tb2Dy3Y9 with its simulated powder XRD pattern. Radiation: Cu Kα (λ = 1.5418 Å). Structure: a GGA-PBE-relaxed structure.

Main lines, low angle first (2θ = 10–90°):
| 2θ/deg | intensity |
| --- | --- |
| 29.83 | 21 |
| 30.13 | 59 |
| 31.61 | 66 |
| 32.35 | 100 |
| 33.82 | 66 |
| 56.76 | 20 |

Cell and atoms:
```
Tb2Dy3Y9
1.0
-2.831 6.162 6.565
2.831 -6.162 6.565
2.831 6.162 -6.565
Tb Dy Y
2 3 9
Direct
0.133 0.000 0.133 Tb
0.867 0.000 0.867 Tb
0.079 0.579 0.500 Dy
0.228 0.228 0.000 Dy
0.755 0.755 0.000 Dy
0.035 0.359 0.676 Y
0.216 0.850 0.366 Y
0.375 0.619 0.756 Y
0.484 0.484 0.000 Y
0.484 0.850 0.634 Y
0.490 0.113 0.377 Y
0.682 0.359 0.324 Y
0.736 0.113 0.623 Y
0.862 0.619 0.244 Y
```



Entry 8:
This entry pairs a crystal structure of Tb5Dy2Y6 with its simulated powder XRD pattern. Radiation: Cu Kα (λ = 1.5418 Å). Structure: a GGA-PBE-relaxed structure.

Main lines, low angle first (2θ = 10–90°):
| 2θ/deg | intensity |
| --- | --- |
| 30.97 | 61 |
| 31.54 | 67 |
| 31.79 | 83 |
| 32.19 | 100 |
| 34.31 | 38 |
| 36.62 | 40 |

Cell and atoms:
```
Tb5Dy2Y6
1.0
11.667 0.000 0.000
0.000 20.324 0.000
0.000 0.000 3.577
Tb Dy Y
10 4 12
Direct
0.000 0.000 0.000 Tb
0.088 0.272 0.000 Tb
0.199 0.549 0.000 Tb
0.301 0.049 0.000 Tb
0.412 0.772 0.000 Tb
0.500 0.500 0.000 Tb
0.588 0.228 0.000 Tb
0.699 0.951 0.000 Tb
0.801 0.451 0.000 Tb
0.912 0.728 0.000 Tb
0.168 0.709 0.500 Dy
0.332 0.209 0.500 Dy
0.668 0.791 0.500 Dy
0.832 0.291 0.500 Dy
0.058 0.419 0.500 Y
0.084 0.131 0.500 Y
0.174 0.864 0.000 Y
0.326 0.364 0.000 Y
0.416 0.631 0.500 Y
0.442 0.919 0.500 Y
0.558 0.081 0.500 Y
0.584 0.369 0.500 Y
0.674 0.636 0.000 Y
0.826 0.136 0.000 Y
0.916 0.869 0.500 Y
0.942 0.581 0.500 Y
```



Entry 9:
This entry pairs a crystal structure of Tb5DyY12 with its simulated powder XRD pattern. Radiation: Cu Kα (λ = 1.5418 Å). Structure: a GGA-PBE-relaxed structure.

Main lines, low angle first (2θ = 10–90°):
| 2θ/deg | intensity |
| --- | --- |
| 30.70 | 100 |
| 35.60 | 50 |
| 51.23 | 35 |
| 60.90 | 28 |
| 60.97 | 14 |
| 63.94 | 12 |

Cell and atoms:
```
Tb5DyY12
1.0
10.694 0.000 0.000
0.000 5.042 0.000
-0.021 0.000 10.707
Tb Dy Y
5 1 12
Direct
0.000 0.000 0.000 Tb
0.167 0.500 0.833 Tb
0.333 0.000 0.667 Tb
0.667 0.000 0.333 Tb
0.833 0.500 0.167 Tb
0.500 0.500 0.500 Dy
0.001 0.000 0.667 Y
0.166 0.500 0.166 Y
0.168 0.500 0.501 Y
0.333 0.000 0.999 Y
0.334 0.000 0.334 Y
0.499 0.500 0.832 Y
0.501 0.500 0.168 Y
0.666 0.000 0.666 Y
0.667 0.000 0.001 Y
0.832 0.500 0.499 Y
0.834 0.500 0.834 Y
0.999 0.000 0.333 Y
```



Entry 10:
This entry pairs a crystal structure of TbDy2Y12 with its simulated powder XRD pattern. Radiation: Cu Kα (λ = 1.5418 Å). Structure: a GGA-PBE-relaxed structure.

Main lines, low angle first (2θ = 10–90°):
| 2θ/deg | intensity |
| --- | --- |
| 30.91 | 34 |
| 31.40 | 42 |
| 32.03 | 100 |
| 34.34 | 14 |
| 47.66 | 14 |
| 56.30 | 20 |

Cell and atoms:
```
TbDy2Y12
1.0
3.649 0.000 0.000
0.000 5.698 0.000
-1.804 0.000 23.504
Tb Dy Y
1 2 12
Direct
0.000 0.000 0.000 Tb
0.142 0.000 0.285 Dy
0.858 0.000 0.715 Dy
0.098 0.500 0.193 Y
0.221 0.500 0.443 Y
0.289 0.000 0.575 Y
0.339 0.500 0.678 Y
0.427 0.000 0.853 Y
0.464 0.500 0.934 Y
0.536 0.500 0.066 Y
0.573 0.000 0.147 Y
0.661 0.500 0.322 Y
0.711 0.000 0.425 Y
0.779 0.500 0.557 Y
0.902 0.500 0.807 Y
```



Entry 11:
This entry pairs a crystal structure of Tb6DyY4 with its simulated powder XRD pattern. Radiation: Cu Kα (λ = 1.5418 Å). Structure: a GGA-PBE-relaxed structure.

Main lines, low angle first (2θ = 10–90°):
| 2θ/deg | intensity |
| --- | --- |
| 30.39 | 77 |
| 30.61 | 50 |
| 31.25 | 66 |
| 31.87 | 100 |
| 33.33 | 40 |
| 44.30 | 36 |

Cell and atoms:
```
Tb6DyY4
1.0
2.863 -4.834 0.000
2.863 4.834 0.000
0.000 0.000 25.661
Tb Dy Y
12 2 8
Direct
0.000 0.000 0.000 Tb
0.000 0.000 0.500 Tb
0.027 0.973 0.750 Tb
0.307 0.693 0.104 Tb
0.307 0.693 0.396 Tb
0.361 0.639 0.682 Tb
0.361 0.639 0.818 Tb
0.639 0.361 0.182 Tb
0.639 0.361 0.318 Tb
0.693 0.307 0.604 Tb
0.693 0.307 0.896 Tb
0.973 0.027 0.250 Tb
0.308 0.692 0.250 Dy
0.692 0.308 0.750 Dy
0.032 0.968 0.622 Y
0.032 0.968 0.878 Y
0.345 0.655 0.543 Y
0.345 0.655 0.957 Y
0.655 0.345 0.043 Y
0.655 0.345 0.457 Y
0.968 0.032 0.122 Y
0.968 0.032 0.378 Y
```



Entry 12:
This entry pairs a crystal structure of TbDy9Y2 with its simulated powder XRD pattern. Radiation: Cu Kα (λ = 1.5418 Å). Structure: a GGA-PBE-relaxed structure.

Main lines, low angle first (2θ = 10–90°):
| 2θ/deg | intensity |
| --- | --- |
| 30.84 | 100 |
| 35.77 | 51 |
| 51.48 | 36 |
| 61.22 | 43 |
| 84.02 | 18 |
| 86.73 | 17 |

Cell and atoms:
```
TbDy9Y2
1.0
5.021 0.000 0.000
0.000 5.021 0.000
0.000 0.000 15.064
Tb Dy Y
1 9 2
Direct
0.000 0.000 0.000 Tb
0.000 0.500 0.166 Dy
0.000 0.500 0.500 Dy
0.000 0.500 0.834 Dy
0.500 0.000 0.166 Dy
0.500 0.000 0.500 Dy
0.500 0.000 0.834 Dy
0.500 0.500 0.000 Dy
0.500 0.500 0.333 Dy
0.500 0.500 0.667 Dy
0.000 0.000 0.333 Y
0.000 0.000 0.667 Y
```